[1]
Theoretical powder diffraction line list
Compound: BeIrBr2
Radiation: a wavelength of 1.5418 Å
Structure: DFT lattice parameters and positions (PBE)
Lines closer than 0.1° are merged.

Cell and atoms:
```
BeIrBr2
1.0
3.9581 0.0000 0.0000
0.0000 3.8605 0.0000
-1.9623 0.0000 7.0131
Be Ir Br
1 1 2
direct
0.0000 0.0000 0.0000
0.9181 0.5000 0.8372
0.3283 0.5000 0.6561
0.5878 0.0000 0.1783
```

Largest 10 diffraction maxima, sorted by position, 10° ≤ 2θ ≤ 80°:
d 7.013, rel. 97; d 3.860, rel. 24; d 3.382, rel. 100; d 3.021, rel. 71; d 2.711, rel. 44; d 2.289, rel. 20; d 1.969, rel. 50; d 1.708, rel. 28; d 1.627, rel. 23; d 1.622, rel. 20

[2]
Theoretical powder diffraction line list
Compound: HoGe3Ir5
Radiation: a wavelength of 1.5418 Å
Structure: DFT lattice parameters and positions (PBE)
Lines closer than 0.1° are merged.

Cell and atoms:
```
HoGe3Ir5
1.0
2.0326 -6.5002 0.0000
2.0326 6.5002 0.0000
0.0000 0.0000 12.1183
Ho Ge Ir
2 6 10
direct
0.2211 0.7789 0.7500
0.7789 0.2211 0.2500
0.0958 0.9042 0.2500
0.3859 0.6141 0.0642
0.3859 0.6141 0.4358
0.6141 0.3859 0.5642
0.6141 0.3859 0.9358
0.9042 0.0958 0.7500
0.0000 0.0000 0.0000
0.0000 0.0000 0.5000
0.2031 0.7969 0.0732
0.2031 0.7969 0.4268
0.4341 0.5659 0.6361
0.4341 0.5659 0.8639
0.5659 0.4341 0.1361
0.5659 0.4341 0.3639
0.7969 0.2031 0.5732
0.7969 0.2031 0.9268
```

Largest 10 diffraction maxima, sorted by position, 10° ≤ 2θ ≤ 80°:
d 6.059, rel. 21; d 5.728, rel. 47; d 2.798, rel. 58; d 2.389, rel. 100; d 2.190, rel. 55; d 2.058, rel. 34; d 2.033, rel. 45; d 1.928, rel. 24; d 1.909, rel. 26; d 1.392, rel. 19